[1]
Ba2AlAsPt6: theoretical powder XRD pattern (Cu Kα X-rays), based on a crystal structure in Alexandria, relaxed with PBE.
Intensities are scaled so that the largest is 100.

Cell lengths 6.7614, 6.7754, 6.8497 Å; angles 60.67, 60.43, 60.10 degrees
Space group P-1 (No. 2)
Unique sites:
Ba 0.2089 0.2090 0.3734
Al 0.5000 0.5000 0.5000
As 0.0000 0.0000 0.0000
Pt 0.2487 0.2482 0.8542
Pt 0.2492 0.6474 0.8566
Pt 0.3503 0.7524 0.1460

Peak list (10 most intense, 2θ = 15–90°, by angle)
d [Å]  Rel. int.
5.637  80
2.930  100
2.779  45
2.766  90
2.409  63
2.201  35
2.195  35
1.847  49
1.694  20
1.604  21



[2]
Be2AlAs2: theoretical powder XRD pattern (Cu Kα X-rays), based on a crystal structure in Alexandria, relaxed with PBE.
Intensities are scaled so that the largest is 100.

Cell lengths 3.5168, 3.5168, 13.2407 Å; angles 90.00, 90.00, 90.00 degrees
Space group I4/mmm (No. 139)
Unique sites:
Be 0.0000 0.5000 0.2500
Al 0.0000 0.0000 0.0000
As 0.0000 0.0000 0.3629

Peak list (10 most intense, 2θ = 15–90°, by angle)
d [Å]  Rel. int.
3.399  38
3.310  19
2.750  100
2.487  43
2.115  14
1.988  27
1.758  19
1.666  13
1.651  10
1.482  29



[3]
Be8AlAs6: theoretical powder XRD pattern (Cu Kα X-rays), based on a crystal structure in Alexandria, relaxed with PBE.
Intensities are scaled so that the largest is 100.

Cell lengths 6.6798, 6.6798, 12.1840 Å; angles 90.00, 90.00, 120.00 degrees
Space group P6_3cm (No. 185)
Unique sites:
Be 0.0000 0.3316 0.0000
Be 0.0000 0.3519 0.3677
Be 0.3333 0.6667 0.1233
Al 0.0000 0.0000 0.2020
As 0.0000 0.0000 0.4282
As 0.0000 0.3652 0.1840
As 0.3333 0.6667 0.4325

Peak list (10 most intense, 2θ = 15–90°, by angle)
d [Å]  Rel. int.
3.340  16
3.221  63
3.046  50
2.929  100
2.580  21
1.969  17
1.928  46
1.735  28
1.629  43
1.611  15



[4]
AlBiAs2Br: theoretical powder XRD pattern (Cu Kα X-rays), based on a crystal structure in Alexandria, relaxed with PBE.
Intensities are scaled so that the largest is 100.

Cell lengths 5.0299, 5.0299, 4.8866 Å; angles 90.00, 90.00, 90.00 degrees
Space group P4/mmm (No. 123)
Unique sites:
Al 0.0000 0.0000 0.0000
Bi 0.5000 0.5000 0.5000
As 0.0000 0.5000 0.0000
Br 0.0000 0.0000 0.5000

Peak list (10 most intense, 2θ = 15–90°, by angle)
d [Å]  Rel. int.
3.557  13
3.505  22
2.876  100
2.515  44
2.443  20
1.778  16
1.752  30
1.512  29
1.481  14
1.438  16



[5]
Al2BiAsO8: theoretical powder XRD pattern (Cu Kα X-rays), based on a crystal structure in Alexandria, relaxed with PBE.
Intensities are scaled so that the largest is 100.

Cell lengths 6.3343, 6.4833, 6.1033 Å; angles 90.00, 90.00, 90.00 degrees
Space group Cmmm (No. 65)
Unique sites:
Al 0.0000 0.0000 0.2353
Bi 0.0000 0.5000 0.5000
As 0.0000 0.5000 0.0000
O 0.0000 0.2998 0.2217
O 0.1734 0.0000 0.5000
O 0.2018 0.0000 0.0000

Peak list (10 most intense, 2θ = 15–90°, by angle)
d [Å]  Rel. int.
4.531  100
3.638  36
3.242  57
3.167  56
2.531  81
2.222  38
2.008  22
1.699  37
1.677  38
1.354  24



[6]
AlBi2AsW: theoretical powder XRD pattern (Cu Kα X-rays), based on a crystal structure in Alexandria, relaxed with PBE.
Intensities are scaled so that the largest is 100.

Cell lengths 5.6449, 5.6449, 4.7289 Å; angles 90.00, 90.00, 90.00 degrees
Space group P4/mmm (No. 123)
Unique sites:
Al 0.0000 0.0000 0.0000
Bi 0.0000 0.5000 0.5000
As 0.5000 0.5000 0.5000
W 0.5000 0.5000 0.0000

Peak list (10 most intense, 2θ = 15–90°, by angle)
d [Å]  Rel. int.
5.645  40
4.729  19
3.050  100
2.822  68
2.364  21
1.996  25
1.812  38
1.670  36
1.525  22
1.114  17



[7]
Al2AsBr: theoretical powder XRD pattern (Cu Kα X-rays), based on a crystal structure in Alexandria, relaxed with PBE.
Intensities are scaled so that the largest is 100.

Cell lengths 3.5491, 5.3170, 9.2403 Å; angles 90.00, 90.00, 90.00 degrees
Space group Amm2 (No. 38)
Unique sites:
Al 0.0000 0.0000 0.0000
Al 0.5000 0.0000 0.2356
As 0.0000 0.0000 0.4312
Br 0.5000 0.0000 0.7659

Peak list (10 most intense, 2θ = 15–90°, by angle)
d [Å]  Rel. int.
4.616  27
2.814  100
2.661  59
1.933  51
1.775  10
1.745  13
1.566  17
1.476  19
1.244  8
1.202  9



[8]
Al2AsBr: theoretical powder XRD pattern (Cu Kα X-rays), based on a crystal structure in Alexandria, relaxed with PBE.
Intensities are scaled so that the largest is 100.

Cell lengths 8.3941, 3.8478, 7.4939 Å; angles 90.00, 114.33, 90.00 degrees
Space group C2/m (No. 12)
Unique sites:
Al 0.1377 0.0000 0.3695
As 0.0000 0.5000 0.5000
Br 0.0000 0.0000 0.0000

Peak list (10 most intense, 2θ = 15–90°, by angle)
d [Å]  Rel. int.
3.824  59
3.414  47
3.328  100
3.314  20
2.865  28
2.262  55
2.145  24
2.084  43
1.924  17
1.856  19



[9]
AlReAsBr2: theoretical powder XRD pattern (Cu Kα X-rays), based on a crystal structure in Alexandria, relaxed with PBE.
Intensities are scaled so that the largest is 100.

Cell lengths 5.3257, 5.3257, 4.7497 Å; angles 90.00, 90.00, 90.00 degrees
Space group P4/mmm (No. 123)
Unique sites:
Al 0.0000 0.0000 0.0000
Re 0.5000 0.5000 0.5000
As 0.5000 0.5000 0.0000
Br 0.0000 0.5000 0.5000

Peak list (10 most intense, 2θ = 15–90°, by angle)
d [Å]  Rel. int.
5.326  100
4.750  42
3.545  25
2.663  68
2.382  27
2.375  25
2.323  27
1.883  24
1.773  46
1.476  28



[10]
Ca2AlNi3As4: theoretical powder XRD pattern (Cu Kα X-rays), based on a crystal structure in Alexandria, relaxed with PBE.
Intensities are scaled so that the largest is 100.

Cell lengths 4.0995, 4.0995, 10.2974 Å; angles 90.00, 90.00, 90.00 degrees
Space group P-4m2 (No. 115)
Unique sites:
Ca 0.0000 0.5000 0.2384
Al 0.0000 0.0000 0.5000
Ni 0.0000 0.5000 0.8768
Ni 0.5000 0.5000 0.5000
As 0.0000 0.0000 0.0000
As 0.0000 0.5000 0.6468
As 0.5000 0.5000 0.0000

Peak list (10 most intense, 2θ = 15–90°, by angle)
d [Å]  Rel. int.
3.809  39
2.632  47
2.526  100
2.050  74
1.925  60
1.840  28
1.449  23
1.369  20
1.257  20
1.158  22



[11]
AlCdAs: theoretical powder XRD pattern (Cu Kα X-rays), based on a crystal structure in Alexandria, relaxed with PBE.
Intensities are scaled so that the largest is 100.

Cell lengths 2.9464, 3.5779, 11.6806 Å; angles 90.00, 90.00, 90.00 degrees
Space group Imm2 (No. 44)
Unique sites:
Al 0.0000 0.0000 0.0000
Cd 0.0000 0.0000 0.3232
As 0.0000 0.0000 0.6248

Peak list (10 most intense, 2θ = 15–90°, by angle)
d [Å]  Rel. int.
3.421  39
2.920  29
2.857  24
2.635  100
2.350  72
2.274  72
1.794  27
1.479  24
1.423  28
1.286  20



[12]
AlAs2Cl: theoretical powder XRD pattern (Cu Kα X-rays), based on a crystal structure in Alexandria, relaxed with PBE.
Intensities are scaled so that the largest is 100.

Cell lengths 3.2981, 3.2981, 8.7144 Å; angles 90.00, 90.00, 90.00 degrees
Space group P4mm (No. 99)
Unique sites:
Al 0.0000 0.0000 0.0000
As 0.0000 0.0000 0.4250
As 0.5000 0.5000 0.2796
Cl 0.5000 0.5000 0.8305

Peak list (10 most intense, 2θ = 15–90°, by angle)
d [Å]  Rel. int.
4.357  54
2.630  100
2.332  62
2.253  19
2.180  44
2.056  26
1.818  33
1.649  20
1.542  21
1.397  35



[13]
AlCu2As: theoretical powder XRD pattern (Cu Kα X-rays), based on a crystal structure in Alexandria, relaxed with PBE.
Intensities are scaled so that the largest is 100.

Cell lengths 3.8739, 3.8739, 3.8779 Å; angles 90.00, 90.00, 90.00 degrees
Space group P4/mmm (No. 123)
Unique sites:
Al 0.0000 0.0000 0.0000
Cu 0.0000 0.5000 0.5000
As 0.5000 0.5000 0.0000

Peak list (10 most intense, 2θ = 15–90°, by angle)
d [Å]  Rel. int.
3.875  11
2.740  9
2.237  100
1.938  48
1.733  5
1.582  3
1.370  29
1.292  2
1.168  34
1.119  10



[14]
AlCu2As: theoretical powder XRD pattern (Cu Kα X-rays), based on a crystal structure in Alexandria, relaxed with PBE.
Intensities are scaled so that the largest is 100.

Cell lengths 3.4627, 3.4627, 4.9403 Å; angles 90.00, 90.00, 90.00 degrees
Space group P4mm (No. 99)
Unique sites:
Al 0.0000 0.0000 0.0000
Cu 0.0000 0.0000 0.5065
Cu 0.5000 0.5000 0.7537
As 0.5000 0.5000 0.2576

Peak list (10 most intense, 2θ = 15–90°, by angle)
d [Å]  Rel. int.
4.940  9
3.463  10
2.836  8
2.449  91
2.011  100
1.731  31
1.312  46
1.224  9
1.103  13
1.095  13



[15]
Er2AlAs: theoretical powder XRD pattern (Cu Kα X-rays), based on a crystal structure in Alexandria, relaxed with PBE.
Intensities are scaled so that the largest is 100.

Cell lengths 3.9129, 3.9129, 22.9136 Å; angles 90.00, 90.00, 120.00 degrees
Space group R-3m (No. 166, hexagonal axes)
Unique sites:
Er 0.0000 0.0000 0.2402
Al 0.0000 0.0000 0.0000
As 0.0000 0.0000 0.5000

Peak list (10 most intense, 2θ = 15–90°, by angle)
d [Å]  Rel. int.
3.819  15
3.249  36
2.917  100
2.354  11
2.187  39
1.956  33
1.625  18
1.458  11
1.367  13
1.250  15